The following is a computed X-ray diffraction stick pattern of GeH3SF3. It was derived from a structure optimized by DFT (PBE), using λ = 1.5418 Å (Cu Kα).

Structure:
Cell: 4.7863 6.7848 7.6223 Å, 85.32 83.85 85.89°
Space group P1 (No. 1)
Asymmetric unit:
Ge 0.0000 0.0000 0.0000 [1 per cell]
Ge 0.0942 0.5918 0.3637 [1 per cell]
H 0.3573 0.9228 0.5186 [1 per cell]
H 0.3644 0.5892 0.7660 [1 per cell]
H 0.4167 0.3712 0.9469 [1 per cell]
H 0.4722 0.0771 0.7106 [1 per cell]
H 0.7709 0.9350 0.5429 [1 per cell]
H 0.8243 0.4030 0.7428 [1 per cell]
S 0.5400 0.5427 0.8934 [1 per cell]
S 0.5445 0.0690 0.5254 [1 per cell]
F 0.0992 0.7606 0.5587 [1 per cell]
F 0.1512 0.8513 0.2098 [1 per cell]
F 0.3768 0.0711 0.9101 [1 per cell]
F 0.7102 0.6405 0.3720 [1 per cell]
F 0.9380 0.2243 0.1184 [1 per cell]
F 0.9656 0.3208 0.6683 [1 per cell]

Top 10 peaks for 2θ = 15–90°, low angle first:
d [Å]  I (rel.)  index
5.231  100.0  0 1 1
4.749  53.7  1 0 0
3.778  38.8  0 0 2
3.746  95.3  1 1 1
3.430  58.1  1 -1 1
3.369  72.6  0 2 0
3.324  58.9  -1 1 1
3.197  64.3  0 1 -2
2.616  47.3  0 2 2
1.856  30.7  2 1 -2